The following is a simulated powder X-ray diffraction pattern of PmRuBr. It was derived from a structure optimized by DFT (PBE), using Cu Kα.
Neutral-atom scattering factors, no anomalous dispersion.

Atomic structure:
```
PmRuBr
1.0
2.1063 1.2161 11.4518
-2.1063 1.2161 11.4518
0.0000 -2.4322 11.4518
Pm Ru Br
2 2 2
Cartesian
0.0000 0.0000 2.0350
0.0000 0.0000 32.3205
0.0000 0.0000 11.5338
0.0000 0.0000 22.8217
0.0000 0.0000 7.5481
0.0000 0.0000 26.8074
```

Main lines, in order of rising 2θ (15° ≤ 2θ ≤ 90°):
- d 3.628, 2θ = 24.5°, I = 24
- d 2.928, 2θ = 30.5°, I = 100
- d 2.780, 2θ = 32.2°, I = 40
- d 2.501, 2θ = 35.9°, I = 23
- d 2.373, 2θ = 37.9°, I = 29
- d 2.106, 2θ = 42.9°, I = 60
- d 2.072, 2θ = 43.7°, I = 16
- d 1.710, 2θ = 53.6°, I = 20
- d 1.414, 2θ = 66.1°, I = 29
- d 1.328, 2θ = 71.0°, I = 17